[1]
Structure and computed powder diffraction line list of CoTe4 (a crystal structure in Alexandria, relaxed with GGA-PBE; Cu Kα (λ = 1.5418 Å)).
Lines closer than 0.1° are merged.

Top 12 peaks for 5° ≤ 2θ ≤ 70°, sorted by position:
2θ = 17.03°, intensity 28; 2θ = 26.32°, intensity 32; 2θ = 30.79°, intensity 26; 2θ = 31.01°, intensity 58; 2θ = 31.74°, intensity 100; 2θ = 31.84°, intensity 40; 2θ = 35.43°, intensity 30; 2θ = 43.89°, intensity 13; 2θ = 44.75°, intensity 28; 2θ = 45.17°, intensity 29; 2θ = 47.09°, intensity 20; 2θ = 57.46°, intensity 19

Atomic structure:
```
CoTe4
1.0
5.0674 0.0000 0.0000
0.0000 7.7190 0.0000
-0.0508 0.0000 7.0512
Co Te
2 8
direct
0.0000 0.1170 0.2500 Co
0.0000 0.8830 0.7500 Co
0.2626 0.3795 0.1348 Te
0.2626 0.6205 0.6348 Te
0.2677 0.1047 0.5587 Te
0.2677 0.8953 0.0587 Te
0.7323 0.1047 0.9413 Te
0.7323 0.8953 0.4413 Te
0.7374 0.3795 0.3652 Te
0.7374 0.6205 0.8652 Te
```

***

[2]
Structure and computed powder diffraction line list of TbPmSm6 (a crystal structure in Alexandria, relaxed with GGA-PBE; Cu Kα (λ = 1.5418 Å)).
Lines closer than 0.1° are merged.

Top 5 peaks for 5° ≤ 2θ ≤ 70°, sorted by position:
2θ = 30.21°, intensity 100; 2θ = 35.03°, intensity 51; 2θ = 50.38°, intensity 36; 2θ = 59.87°, intensity 43; 2θ = 62.83°, intensity 12

Atomic structure:
```
TbPmSm6
1.0
0.0000 5.1203 7.2423
3.6270 0.0000 7.2423
3.6270 5.1203 0.0000
Tb Pm Sm
1 1 6
direct
0.0000 0.0000 0.0000 Tb
0.5000 0.5000 0.5000 Pm
0.1247 0.1247 0.3753 Sm
0.2499 0.2499 0.7501 Sm
0.3753 0.3753 0.1247 Sm
0.6247 0.6247 0.8753 Sm
0.7501 0.7501 0.2499 Sm
0.8753 0.8753 0.6247 Sm
```